The following is a theoretical powder diffractogram of SmIn8Pd4. It was derived from a cell relaxed with PBE, using λ = 1.5418 Å (Cu Kα).

The 12 most intense peaks (2θ = 15–90°), sorted by position:
2θ/deg  I_rel
30.41  23
31.77  51
35.79  75
36.97  100
37.36  74
40.55  87
41.62  19
41.97  30
58.41  26
66.37  32
67.13  30
75.84  18

Atomic structure:
a = 7.415 Å, b = 7.415 Å, c = 7.415 Å
α = 99.04°, β = 99.04°, γ = 133.29°
Element x y z (fractional)
1 Sm 0.000 0.000 0.000
2 In 0.000 0.337 0.337
3 In 0.000 0.663 0.663
4 In 0.280 0.500 0.780
5 In 0.337 0.000 0.337
6 In 0.500 0.280 0.780
7 In 0.500 0.720 0.220
8 In 0.663 0.000 0.663
9 In 0.720 0.500 0.220
10 Pd 0.000 0.000 0.500
11 Pd 0.000 0.500 0.000
12 Pd 0.500 0.000 0.000
13 Pd 0.500 0.500 0.500



The following is a theoretical powder diffractogram of V4Si3. It was derived from a cell relaxed with PBE, using λ = 1.5418 Å (Cu Kα).

The 12 most intense peaks (2θ = 15–90°), sorted by position:
2θ/deg  I_rel
31.05  25
34.58  89
35.25  69
36.52  24
37.62  17
43.48  55
45.27  87
46.63  100
47.68  26
53.91  37
72.97  38
86.86  17

Atomic structure:
a = 12.079 Å, b = 3.401 Å, c = 5.015 Å
α = 90.00°, β = 107.54°, γ = 90.00°
Element x y z (fractional)
1 V 0.063 0.000 0.363
2 V 0.156 0.500 0.791
3 V 0.344 0.000 0.209
4 V 0.437 0.500 0.637
5 V 0.563 0.500 0.363
6 V 0.656 0.000 0.791
7 V 0.844 0.500 0.209
8 V 0.937 0.000 0.637
9 Si 0.000 0.500 0.000
10 Si 0.216 0.500 0.319
11 Si 0.284 0.000 0.681
12 Si 0.500 0.000 0.000
13 Si 0.716 0.000 0.319
14 Si 0.784 0.500 0.681



The following is a theoretical powder diffractogram of SrInSnHg. It was derived from a cell relaxed with PBE, using λ = 1.5418 Å (Cu Kα).

The 12 most intense peaks (2θ = 15–90°), sorted by position:
2θ/deg  I_rel
20.97  51
25.36  54
35.59  100
36.75  73
42.69  9
48.51  11
52.06  17
52.12  17
65.36  12
65.48  23
66.23  9
71.44  12

Atomic structure:
a = 8.481 Å, b = 4.886 Å, c = 6.279 Å
α = 90.00°, β = 90.11°, γ = 90.00°
Element x y z (fractional)
1 Sr 0.000 0.000 0.000
2 Sr 0.500 0.500 0.000
3 In 0.335 0.000 0.490
4 In 0.835 0.500 0.490
5 Sn 0.168 0.500 0.282
6 Sn 0.668 0.000 0.282
7 Hg 0.167 0.500 0.750
8 Hg 0.667 0.000 0.750



The following is a theoretical powder diffractogram of TmNpMn17. It was derived from a cell relaxed with PBE, using λ = 1.5418 Å (Cu Kα).

The 12 most intense peaks (2θ = 15–90°), sorted by position:
2θ/deg  I_rel
20.74  28
25.21  19
31.22  58
32.86  34
33.26  22
36.33  54
39.52  70
42.19  90
43.48  100
45.04  42
46.26  19
62.19  32

Atomic structure:
a = 6.270 Å, b = 6.270 Å, c = 6.270 Å
α = 86.18°, β = 86.18°, γ = 86.18°
Element x y z (fractional)
1 Tm 0.000 0.000 0.000
2 Np 0.288 0.288 0.288
3 Mn 0.013 0.013 0.513
4 Mn 0.013 0.513 0.013
5 Mn 0.146 0.652 0.652
6 Mn 0.289 0.289 0.757
7 Mn 0.289 0.757 0.289
8 Mn 0.375 0.649 0.923
9 Mn 0.375 0.923 0.649
10 Mn 0.513 0.013 0.013
11 Mn 0.547 0.547 0.547
12 Mn 0.649 0.375 0.923
13 Mn 0.649 0.923 0.375
14 Mn 0.652 0.146 0.652
15 Mn 0.652 0.652 0.146
16 Mn 0.748 0.748 0.748
17 Mn 0.757 0.289 0.289
18 Mn 0.923 0.375 0.649
19 Mn 0.923 0.649 0.375